Computed XRD peak list of KCr12Si8ClO28 for Cu Kα X-rays, from a structure optimized by DFT (GGA+U).

Cell and atoms:
Lattice parameters (Å, degrees): 9.9571 9.9571 9.9571 115.97 115.97 97.13
Sites, in units of the cell vectors:
K 0.0000 0.0000 0.0000
Cr 0.0138 0.2401 0.7737
Cr 0.1382 0.4567 0.6815
Cr 0.2401 0.0138 0.7737
Cr 0.2401 0.4664 0.2263
Cr 0.4461 0.6765 0.7695
Cr 0.4567 0.1382 0.6815
Cr 0.4567 0.7751 0.3185
Cr 0.4664 0.2401 0.2263
Cr 0.6765 0.4461 0.7695
Cr 0.6765 0.9070 0.2305
Cr 0.7751 0.4567 0.3185
Cr 0.9070 0.6765 0.2305
Si 0.0661 0.0661 0.4425
Si 0.0661 0.6236 0.0000
Si 0.2912 0.2912 0.4449
Si 0.2912 0.8463 0.0000
Si 0.6236 0.0661 0.0000
Si 0.6236 0.6236 0.5575
Si 0.8463 0.2912 0.0000
Si 0.8463 0.8463 0.5551
Cl 0.3880 0.3880 0.0000
O 0.0115 0.0115 0.7109
O 0.0115 0.3006 0.0000
O 0.0282 0.2118 0.5633
O 0.0282 0.4648 0.8164
O 0.1291 0.1291 0.3438
O 0.1291 0.7853 0.0000
O 0.2118 0.0282 0.5633
O 0.2118 0.6485 0.1836
O 0.2672 0.4499 0.5667
O 0.2672 0.7004 0.8173
O 0.3006 0.0115 0.0000
O 0.3006 0.3006 0.2891
O 0.4499 0.2672 0.5667
O 0.4499 0.8832 0.1827
O 0.4648 0.0282 0.8164
O 0.4648 0.6485 0.4367
O 0.6110 0.6110 0.7103
O 0.6110 0.9007 0.0000
O 0.6485 0.2118 0.1836
O 0.6485 0.4648 0.4367
O 0.7004 0.2672 0.8173
O 0.7004 0.8832 0.4333
O 0.7853 0.1291 0.0000
O 0.7853 0.7853 0.6562
O 0.8832 0.4499 0.1827
O 0.8832 0.7004 0.4333
O 0.9007 0.6110 0.0000
O 0.9007 0.9007 0.2897

Peak list (8 most intense, 10 to 80 degrees two-theta, by angle)
two_theta  I/Imax
16.8  60
20.0  50
26.2  100
27.5  54
30.0  29
32.0  28
36.4  69
55.8  28

Computed XRD peak list of Li3CrClO4 for Cu Kα X-rays, from a structure optimized by DFT (GGA+U).

Cell and atoms:
Lattice parameters (Å, degrees): 6.8128 6.8128 4.8627 90.00 90.00 90.00
Sites, in units of the cell vectors:
Li 0.0000 0.0000 0.0000
Li 0.0000 0.5000 0.0000
Li 0.2500 0.2500 0.3557
Li 0.5000 0.0000 0.0000
Li 0.5000 0.5000 0.0000
Li 0.7500 0.7500 0.6443
Cr 0.2500 0.7500 0.5000
Cr 0.7500 0.2500 0.5000
Cl 0.2500 0.2500 0.8346
Cl 0.7500 0.7500 0.1654
O 0.0544 0.7500 0.7066
O 0.2500 0.5544 0.2934
O 0.2500 0.9456 0.2934
O 0.4456 0.7500 0.7066
O 0.5544 0.2500 0.2934
O 0.7500 0.0544 0.7066
O 0.7500 0.4456 0.7066
O 0.9456 0.2500 0.2934

Peak list (8 most intense, 10 to 80 degrees two-theta, by angle)
two_theta  I/Imax
18.2  23
18.4  25
26.0  100
26.2  75
32.1  26
34.7  61
46.1  27
57.1  23